(1)
This entry pairs a crystal structure of MnCrInS4 with its simulated XRD peak list. Radiation: Cu Kα. Structure: DFT lattice parameters and positions (PBE).
Peak positions follow from Bragg's law for the DFT cell and can differ from measured ones.

Peak list (12 most intense, 10 to 90 degrees two-theta, by angle)
2θ (°), d/Å, intensity
14.7, 6.019, 34
24.0, 3.705, 12
24.2, 3.672, 13
28.2, 3.165, 100
28.4, 3.143, 20
34.1, 2.626, 22
34.3, 2.615, 43
44.9, 2.019, 20
45.2, 2.007, 25
48.9, 1.862, 15
49.2, 1.853, 60
49.7, 1.836, 15

Cell and atoms:
a b c (Å): 7.4114 7.4114 7.4114
angles (deg): 120.59 119.68 89.76
Element x y z (fractional)
Mn  0.3770  0.1270  0.2500
Mn  0.6230  0.8730  0.7500
Cr  0.0000  0.0000  0.5000
Cr  0.0000  0.5000  0.0000
In  0.0000  0.5000  0.5000
In  0.5000  0.5000  0.0000
S  0.2218  0.2493  0.9725
S  0.2231  0.7507  0.4725
S  0.2332  0.2360  0.5028
S  0.2332  0.7303  0.9972
S  0.7668  0.2697  0.0028
S  0.7668  0.7640  0.4972
S  0.7769  0.2493  0.5275
S  0.7782  0.7507  0.0275

***

(2)
This entry pairs a crystal structure of CaMg3C4O12 with its simulated XRD peak list. Radiation: Cu Kα. Structure: DFT lattice parameters and positions (PBE).
Peak positions follow from Bragg's law for the DFT cell and can differ from measured ones.

Peak list (12 most intense, 10 to 90 degrees two-theta, by angle)
2θ (°), d/Å, intensity
30.6, 2.924, 19
31.2, 2.866, 100
34.0, 2.635, 9
36.5, 2.462, 9
37.4, 2.404, 11
40.7, 2.217, 8
45.0, 2.013, 8
45.5, 1.994, 24
51.2, 1.785, 17
51.5, 1.776, 17
57.5, 1.602, 11
61.8, 1.501, 6

Cell and atoms:
a b c (Å): 6.1444 6.1444 6.1444
angles (deg): 102.96 102.96 102.96
Element x y z (fractional)
Ca  0.0000  0.0000  0.0000
Mg  0.0000  0.4575  0.5425
Mg  0.4575  0.5425  0.0000
Mg  0.5425  0.0000  0.4575
C  0.0433  0.9566  0.5000
C  0.5000  0.0433  0.9567
C  0.5000  0.5000  0.5000
C  0.9567  0.5000  0.0433
O  0.0250  0.8085  0.6194
O  0.0921  0.5000  0.9079
O  0.1915  0.9750  0.3806
O  0.3650  0.5000  0.6350
O  0.3806  0.1915  0.9750
O  0.5000  0.6350  0.3650
O  0.5000  0.9079  0.0921
O  0.6194  0.0250  0.8085
O  0.6350  0.3650  0.5000
O  0.8085  0.6194  0.0250
O  0.9079  0.0921  0.5000
O  0.9750  0.3806  0.1915

***

(3)
This entry pairs a crystal structure of Ba2MgSi2 with its simulated XRD peak list. Radiation: Cu Kα. Structure: DFT lattice parameters and positions (PBE).
Peak positions follow from Bragg's law for the DFT cell and can differ from measured ones.

Peak list (12 most intense, 10 to 90 degrees two-theta, by angle)
2θ (°), d/Å, intensity
17.8, 4.987, 22
23.8, 3.740, 32
25.1, 3.550, 100
25.8, 3.454, 26
30.9, 2.892, 24
34.8, 2.575, 47
35.8, 2.510, 39
39.4, 2.288, 29
43.4, 2.084, 25
47.3, 1.923, 17
58.1, 1.588, 19
63.7, 1.461, 16

Cell and atoms:
a b c (Å): 3.5503 3.5503 14.9601
angles (deg): 90.00 90.00 90.00
Element x y z (fractional)
Ba  0.0000  0.0000  0.1257
Ba  0.0000  0.0000  0.8744
Mg  0.0000  0.0000  0.5000
Si  0.0000  0.0000  0.3289
Si  0.0000  0.0000  0.6711

***

(4)
This entry pairs a crystal structure of Er2Si3Pt3 with its simulated XRD peak list. Radiation: Cu Kα. Structure: DFT lattice parameters and positions (PBE).
Peak positions follow from Bragg's law for the DFT cell and can differ from measured ones.

Peak list (12 most intense, 10 to 90 degrees two-theta, by angle)
2θ (°), d/Å, intensity
13.2, 6.726, 47
22.0, 4.036, 21
31.1, 2.871, 100
33.9, 2.641, 21
35.6, 2.522, 30
38.5, 2.340, 21
44.6, 2.030, 39
48.0, 1.895, 52
58.3, 1.582, 29
73.8, 1.284, 17
76.3, 1.248, 13
84.7, 1.144, 21

Cell and atoms:
a b c (Å): 2.8713 2.8713 20.1780
angles (deg): 90.00 90.00 90.00
Element x y z (fractional)
Er  0.0000  0.0000  0.2463
Er  0.0000  0.0000  0.7537
Si  0.0000  0.0000  0.0000
Si  0.0000  0.0000  0.3840
Si  0.0000  0.0000  0.6160
Pt  0.0000  0.0000  0.1132
Pt  0.0000  0.0000  0.5000
Pt  0.0000  0.0000  0.8868

***

(5)
This entry pairs a crystal structure of NaSi2BH2O7 with its simulated XRD peak list. Radiation: Cu Kα. Structure: DFT lattice parameters and positions (PBE).
Peak positions follow from Bragg's law for the DFT cell and can differ from measured ones.

Peak list (12 most intense, 10 to 90 degrees two-theta, by angle)
2θ (°), d/Å, intensity
10.5, 8.458, 50
19.6, 4.530, 100
20.0, 4.449, 49
21.0, 4.232, 18
24.5, 3.630, 25
25.2, 3.537, 16
27.3, 3.266, 91
30.1, 2.971, 31
33.8, 2.648, 39
37.0, 2.427, 17
42.6, 2.122, 18
52.9, 1.730, 16

Cell and atoms:
a b c (Å): 5.2978 7.0748 8.4593
angles (deg): 90.00 91.14 90.00
Element x y z (fractional)
Na  0.1218  0.0000  0.0470
Na  0.8782  0.5000  0.9530
Si  0.2227  0.6794  0.3674
Si  0.2697  0.1112  0.4293
Si  0.7303  0.6112  0.5707
Si  0.7773  0.1794  0.6326
B  0.2521  0.3853  0.1612
B  0.7479  0.8853  0.8388
H  0.1976  0.7332  0.7692
H  0.3883  0.7187  0.9152
H  0.6117  0.2187  0.0848
H  0.8024  0.2332  0.2308
O  0.0546  0.1264  0.5638
O  0.2176  0.2738  0.3005
O  0.2377  0.9084  0.3353
O  0.2431  0.3163  0.0170
O  0.2582  0.5821  0.1950
O  0.2834  0.8051  0.8522
O  0.4446  0.6212  0.4959
O  0.5554  0.1212  0.5041
O  0.7166  0.3051  0.1478
O  0.7418  0.0821  0.8050
O  0.7569  0.8163  0.9830
O  0.7623  0.4084  0.6647
O  0.7824  0.7738  0.6995
O  0.9454  0.6264  0.4362

***

(6)
This entry pairs a crystal structure of CuSnO6 with its simulated XRD peak list. Radiation: Cu Kα. Structure: DFT lattice parameters and positions (PBE).
Peak positions follow from Bragg's law for the DFT cell and can differ from measured ones.

Peak list (12 most intense, 10 to 90 degrees two-theta, by angle)
2θ (°), d/Å, intensity
20.7, 4.294, 17
21.6, 4.119, 100
21.9, 4.055, 96
27.9, 3.200, 26
30.8, 2.901, 17
31.1, 2.879, 16
35.5, 2.527, 47
35.7, 2.512, 40
42.0, 2.149, 33
42.2, 2.140, 32
44.0, 2.059, 20
44.7, 2.028, 18

Cell and atoms:
a b c (Å): 6.4009 8.1104 8.2382
angles (deg): 90.44 90.08 90.01
Element x y z (fractional)
Cu  0.0000  0.0000  0.0000
Cu  0.0003  0.4971  0.5032
Cu  0.4992  0.9988  0.4982
Cu  0.5001  0.5003  0.0026
Sn  0.0003  0.4992  0.0018
Sn  0.4994  0.4988  0.5040
Sn  0.5005  0.0024  0.9997
Sn  0.9991  0.9965  0.4989
O  0.1398  0.7423  0.4747
O  0.1405  0.7556  0.0203
O  0.1422  0.4776  0.7490
O  0.1428  0.0184  0.7528
O  0.2366  0.0868  0.0838
O  0.2372  0.4104  0.4188
O  0.2616  0.0830  0.4146
O  0.2637  0.4164  0.0883
O  0.3569  0.0171  0.7451
O  0.3571  0.4796  0.7571
O  0.3576  0.7526  0.4865
O  0.3586  0.7469  0.0203
O  0.6402  0.2561  0.9780
O  0.6409  0.2434  0.5159
O  0.6411  0.9833  0.2530
O  0.6431  0.5244  0.2492
O  0.7351  0.9128  0.5828
O  0.7368  0.5868  0.9194
O  0.7627  0.9151  0.9144
O  0.7641  0.5822  0.5893
O  0.8567  0.5263  0.2573
O  0.8580  0.2464  0.9916
O  0.8583  0.2521  0.5177
O  0.8575  0.9814  0.2457